For Rb2Ag2SeS, DFT lattice parameters and positions (PBE) gives the computed X-ray diffraction stick pattern in this record (CuKα).

Principal peaks in the range 10 to 80 degrees two-theta, sorted by position:
7.742 Å, 2θ = 11.43°, rel. 69, (0 0 2); 4.828 Å, 2θ = 18.37°, rel. 81, (0 1 1); 3.649 Å, 2θ = 24.40°, rel. 100, (1 1 1); 3.621 Å, 2θ = 24.58°, rel. 87, (0 1 3); 2.413 Å, 2θ = 37.26°, rel. 48, (2 1 1); 2.261 Å, 2θ = 39.87°, rel. 57, (2 0 4)

Structure:
a b c (Å): 5.571 5.082 15.485
angles (deg): 90.00 90.00 90.00
Atoms (fractional coordinates):
Rb (0.000, 0.000, 0.000)
Rb (0.000, 0.500, 0.500)
Rb (0.500, 0.000, 0.306)
Rb (0.500, 0.500, 0.806)
Ag (0.249, 0.000, 0.659)
Ag (0.249, 0.500, 0.159)
Ag (0.751, 0.000, 0.659)
Ag (0.751, 0.500, 0.159)
Se (0.500, 0.000, 0.525)
Se (0.500, 0.500, 0.025)
S (0.000, 0.000, 0.785)
S (0.000, 0.500, 0.285)